Entry 1:
Ca2MnHPd6: theoretical X-ray diffraction stick pattern (Cu Kα (weighted mean of Kα1 and Kα2)), based on a GGA-PBE-relaxed structure.

Principal peaks in the range 10° ≤ 2θ ≤ 90°, in order of rising 2θ:
| two_theta | I (rel.) |
| --- | --- |
| 14.6 | 23 |
| 20.4 | 40 |
| 29.4 | 27 |
| 34.7 | 21 |
| 37.6 | 100 |
| 41.5 | 81 |
| 44.2 | 25 |
| 65.3 | 28 |

Cell lengths 5.717, 5.717, 6.922 Å; angles 114.46, 114.46, 60.03 degrees
Fractional coordinates of all 10 atoms:
Ca  0.221  0.221  0.162
Ca  0.779  0.779  0.838
Mn  0.500  0.500  0.000
H  0.000  0.000  0.500
Pd  0.229  0.229  0.683
Pd  0.229  0.724  0.683
Pd  0.276  0.771  0.317
Pd  0.724  0.229  0.683
Pd  0.771  0.276  0.317
Pd  0.771  0.771  0.317



Entry 2:
CaMnZnH6: theoretical X-ray diffraction stick pattern (Cu Kα (weighted mean of Kα1 and Kα2)), based on a GGA-PBE-relaxed structure.

Principal peaks in the range 10° ≤ 2θ ≤ 90°, in order of rising 2θ:
| two_theta | I (rel.) |
| --- | --- |
| 20.3 | 29 |
| 30.7 | 100 |
| 40.1 | 59 |
| 41.2 | 17 |
| 45.3 | 22 |
| 51.4 | 22 |
| 58.9 | 36 |
| 67.1 | 18 |

Cell lengths 4.496, 4.496, 8.763 Å; angles 90.00, 90.00, 120.00 degrees
Fractional coordinates of all 18 atoms:
Ca  0.000  0.000  0.000
Ca  0.000  0.000  0.500
Mn  0.333  0.667  0.250
Mn  0.667  0.333  0.750
Zn  0.333  0.667  0.750
Zn  0.667  0.333  0.250
H  0.038  0.519  0.119
H  0.038  0.519  0.381
H  0.481  0.519  0.119
H  0.481  0.519  0.381
H  0.481  0.962  0.119
H  0.481  0.962  0.381
H  0.519  0.038  0.619
H  0.519  0.038  0.881
H  0.519  0.481  0.619
H  0.519  0.481  0.881
H  0.962  0.481  0.619
H  0.962  0.481  0.881



Entry 3:
CaMo2H8: theoretical X-ray diffraction stick pattern (Cu Kα (weighted mean of Kα1 and Kα2)), based on a GGA-PBE-relaxed structure.

Principal peaks in the range 10° ≤ 2θ ≤ 90°, in order of rising 2θ:
| two_theta | I (rel.) |
| --- | --- |
| 18.0 | 17 |
| 32.0 | 100 |
| 33.1 | 90 |
| 37.7 | 32 |
| 37.8 | 62 |
| 54.4 | 42 |
| 63.9 | 26 |
| 65.9 | 23 |

Cell lengths 5.749, 5.749, 5.749 Å; angles 145.05, 130.91, 61.67 degrees
Fractional coordinates of all 11 atoms:
Ca  0.000  0.000  0.000
Mo  0.327  0.327  0.000
Mo  0.673  0.673  0.000
H  0.049  0.906  0.583
H  0.300  0.500  0.800
H  0.324  0.466  0.417
H  0.394  0.894  0.500
H  0.606  0.106  0.500
H  0.676  0.094  0.143
H  0.700  0.500  0.200
H  0.951  0.534  0.857



Q: What is the formula in the third record?
A: CaMo2H8